[1]
# YMn2S4
Calculated powder X-ray diffraction pattern, Cu Ka. Input: DFT lattice parameters and positions (PBE).
Kinematic intensities with the Lorentz-polarization factor, no thermal factor.

Atomic structure:
```
YMn2S4
1.0
-3.7609 3.8443 5.2670
3.7609 -3.8443 5.2670
3.7609 3.8443 -5.2670
Y Mn S
2 4 8
Cartesian
0.0000 0.0000 0.0000
0.0000 3.8443 0.0000
1.8804 1.9221 -2.6335
1.8804 -1.9221 2.6335
3.7609 1.9221 1.3656
0.0000 1.9221 3.9014
3.7609 -0.2007 2.5540
3.7609 3.6436 -2.5540
1.8912 1.9221 -0.1472
5.6305 1.9221 -0.1472
-1.8696 1.9221 5.4143
1.8696 1.9221 5.4143
0.0000 0.2007 7.8211
0.0000 4.0450 2.7130
```

Main lines, in order of rising 2θ (5° ≤ 2θ ≤ 70°):
2θ 23.7, 3.762 Å, I 29.1
2θ 27.4, 3.256 Å, I 62.8
2θ 27.7, 3.217 Å, I 32.3
2θ 28.0, 3.182 Å, I 37.5
2θ 33.3, 2.688 Å, I 55.7
2θ 34.0, 2.634 Å, I 25.8
2θ 47.3, 1.922 Å, I 20.7
2θ 48.4, 1.881 Å, I 100.0

[2]
# Ba3P6O22
Calculated powder X-ray diffraction pattern, Cu Ka. Input: DFT lattice parameters and positions (PBE).
Kinematic intensities with the Lorentz-polarization factor, no thermal factor.

Atomic structure:
```
Ba3P6O22
1.0
8.1722 -4.1936 0.0000
8.1722 4.1936 0.0000
-1.0826 0.0000 7.7733
Ba P O
3 6 22
Cartesian
0.0000 0.0000 0.0000
9.7001 0.0000 0.9816
13.3491 0.0000 3.8124
1.0999 0.0000 5.1308
6.2658 1.4156 5.9435
10.4899 2.7739 2.8814
7.4695 0.0000 3.6451
6.2658 -1.4156 5.9435
10.4899 -2.7739 2.8814
10.0094 -2.9313 4.4194
-0.3729 0.0000 4.8323
5.2776 2.5420 5.9440
6.2376 2.5756 1.5723
1.4545 0.0000 6.6020
3.0688 0.0000 2.6367
9.3097 2.6521 1.9501
10.0094 2.9313 4.4194
6.7752 1.2540 4.3991
7.4383 1.5412 6.8751
5.5100 0.0000 6.1762
7.0268 0.0000 2.1860
10.8056 1.9007 7.5919
11.5041 1.6704 2.7915
8.9577 0.0000 3.8008
6.7752 -1.2540 4.3991
5.2776 -2.5420 5.9440
7.4383 -1.5412 6.8751
6.2376 -2.5756 1.5723
9.3097 -2.6521 1.9501
11.5041 -1.6704 2.7915
10.8056 -1.9007 7.5919
```

Main lines, in order of rising 2θ (5° ≤ 2θ ≤ 70°):
2θ 10.9, 8.094 Å, I 49.2
2θ 14.7, 6.038 Å, I 82.8
2θ 23.8, 3.733 Å, I 100.0
2θ 26.5, 3.359 Å, I 25.8
2θ 27.2, 3.278 Å, I 24.1
2θ 29.6, 3.020 Å, I 31.4
2θ 32.2, 2.778 Å, I 28.2
2θ 43.3, 2.089 Å, I 29.1

[3]
# TaReSi
Calculated powder X-ray diffraction pattern, Cu Ka. Input: DFT lattice parameters and positions (PBE).
Kinematic intensities with the Lorentz-polarization factor, no thermal factor.

Atomic structure:
```
TaReSi
1.0
6.9035 0.0000 0.0000
-3.4517 5.9786 0.0000
0.0000 0.0000 3.2816
Ta Re Si
3 3 3
Cartesian
-2.0663 3.5790 0.0000
1.3854 2.3996 0.0000
4.1326 0.0000 0.0000
-0.8973 1.5542 1.6408
1.7947 0.0000 1.6408
2.5544 4.4244 1.6408
0.0000 0.0000 0.0000
0.0000 3.9857 1.6408
3.4517 1.9929 1.6408
```

Main lines, in order of rising 2θ (5° ≤ 2θ ≤ 70°):
2θ 25.8, 3.452 Å, I 27.7
2θ 31.1, 2.877 Å, I 13.1
2θ 37.8, 2.378 Å, I 100.0
2θ 39.9, 2.260 Å, I 54.5
2θ 40.8, 2.210 Å, I 38.9
2θ 45.5, 1.993 Å, I 19.2
2θ 56.0, 1.641 Å, I 12.5
2θ 62.8, 1.480 Å, I 25.5

[4]
# BeAgO3
Calculated powder X-ray diffraction pattern, Cu Ka. Input: DFT lattice parameters and positions (PBE).
Kinematic intensities with the Lorentz-polarization factor, no thermal factor.

Atomic structure:
```
BeAgO3
1.0
3.5684 0.0000 0.0000
0.0000 3.5684 0.0000
0.0000 0.0000 3.5684
Be Ag O
1 1 3
Cartesian
0.0000 0.0000 0.0000
1.7842 1.7842 1.7842
0.0000 0.0000 1.7842
0.0000 1.7842 0.0000
1.7842 0.0000 0.0000
```

Main lines, in order of rising 2θ (5° ≤ 2θ ≤ 70°):
2θ 25.0, 3.568 Å, I 94.0
2θ 35.6, 2.523 Å, I 100.0
2θ 43.9, 2.060 Å, I 81.6
2θ 51.2, 1.784 Å, I 42.8
2θ 57.8, 1.596 Å, I 38.0
2θ 63.9, 1.457 Å, I 35.6

[5]
# Li2GeSb2Te5
Calculated powder X-ray diffraction pattern, Cu Ka. Input: DFT lattice parameters and positions (PBE).
Kinematic intensities with the Lorentz-polarization factor, no thermal factor.

Atomic structure:
```
Li2GeSb2Te5
1.0
2.1676 1.2515 17.9668
-2.1676 1.2515 17.9668
0.0000 -2.5030 17.9668
Li Ge Sb Te
2 1 2 5
Cartesian
0.0000 0.0000 0.0000
0.0000 0.0000 20.2088
0.0000 0.0000 42.0986
0.0000 0.0000 9.9230
0.0000 0.0000 31.8540
0.0000 0.0000 4.7385
0.0000 0.0000 15.6175
0.0000 0.0000 26.1567
0.0000 0.0000 36.9657
0.0000 0.0000 47.8099
```

Main lines, in order of rising 2θ (5° ≤ 2θ ≤ 70°):
2θ 25.1, 3.546 Å, I 14.5
2θ 29.0, 3.081 Å, I 100.0
2θ 41.2, 2.189 Å, I 34.4
2θ 41.7, 2.168 Å, I 38.5
2θ 51.6, 1.773 Å, I 19.8
2θ 60.1, 1.540 Å, I 11.2
2θ 67.7, 1.383 Å, I 13.1
2θ 68.4, 1.372 Å, I 16.8

[6]
# NaNdGa4S8
Calculated powder X-ray diffraction pattern, Cu Ka. Input: DFT lattice parameters and positions (PBE).
Kinematic intensities with the Lorentz-polarization factor, no thermal factor.

Atomic structure:
```
NaNdGa4S8
1.0
0.0000 10.2045 10.2431
6.1359 0.0000 10.2431
6.1359 10.2045 0.0000
Na Nd Ga S
4 4 16 32
Cartesian
4.6019 7.6534 2.4850
7.6698 12.7556 7.6065
4.6019 7.6534 12.8796
7.6698 12.7556 18.0012
1.5340 2.5511 2.5608
4.6019 7.6534 7.6823
7.6698 12.7556 12.8038
10.7378 17.8579 17.9254
8.1447 9.0926 5.1389
4.6089 4.8688 5.0683
8.1447 6.2142 10.2256
11.2126 11.3165 10.2605
7.6628 9.9710 10.1898
4.5949 4.8688 10.2963
4.5949 10.4380 5.0683
1.0591 6.2142 5.1389
11.2126 14.1948 15.3472
7.6768 9.9710 15.4179
7.6768 15.5402 10.1898
4.6089 10.4380 10.2963
1.0591 9.0926 10.2257
4.1270 14.1948 10.2605
7.6628 15.5402 15.4179
4.1270 11.3165 15.3472
9.2670 10.1530 6.8574
6.1991 10.2560 1.7359
3.0047 5.0507 1.7359
6.0668 5.1682 6.8505
3.0883 3.1828 5.0355
9.1835 8.2850 10.1571
6.1155 3.1828 10.3291
5.9373 8.5452 5.1287
3.2665 6.7616 5.1287
6.1155 12.1240 5.0355
5.9373 6.7616 10.2359
9.0052 11.8638 10.2503
6.1991 5.0507 13.6287
3.1370 5.1682 8.5141
6.0668 10.1386 8.5141
9.1347 10.2704 13.6356
3.1370 10.1386 6.8505
6.2050 10.2704 11.9720
9.1347 15.2408 11.9720
6.0727 15.3583 6.8574
3.2665 8.5452 10.2359
6.3344 13.6474 10.2503
6.1562 8.2850 15.4506
9.0052 13.6474 15.3574
6.3344 11.8638 15.3574
6.1562 17.2262 10.1571
3.0883 12.1240 10.3291
9.1835 17.2262 15.4506
6.2050 15.2408 13.6356
9.2670 15.3583 18.7503
6.0727 10.1530 18.7503
3.0047 10.2560 13.6287
```

Main lines, in order of rising 2θ (5° ≤ 2θ ≤ 70°):
2θ 12.2, 7.229 Å, I 48.7
2θ 16.8, 5.262 Å, I 30.0
2θ 17.3, 5.120 Å, I 28.2
2θ 24.3, 3.668 Å, I 100.0
2θ 30.0, 2.976 Å, I 48.7
2θ 35.0, 2.561 Å, I 33.5
2θ 38.5, 2.339 Å, I 81.6
2θ 46.8, 1.941 Å, I 25.0